Entry 1:
Sc11Cu4Hg9: simulated powder XRD pattern (a wavelength of 1.5418 Å), based on a DFT-relaxed cell (PBE, Alexandria).
Intensities are scaled so that the largest is 100.

Atomic structure:
```
24
Lattice="6.8726 -10.2705 0.0000 6.8726 10.2705 0.0000 0.0000 0.0000 3.4520" Properties=species:S:1:pos:R:3 pbc="T T T"
Sc 0.0000 0.0000 0.0000
Sc 3.3791 3.4826 0.0000
Sc 6.8726 6.8837 0.0000
Sc 4.1048 0.0000 0.0000
Sc 6.8726 2.7257 0.0000
Sc 3.3791 -3.4826 0.0000
Sc 10.3661 3.4826 0.0000
Sc 6.8726 -2.7257 0.0000
Sc 9.6404 0.0000 0.0000
Sc 6.8726 -6.8837 0.0000
Sc 10.3661 -3.4826 0.0000
Cu 4.8454 2.0134 1.7260
Cu 4.8454 -2.0134 1.7260
Cu 8.8998 2.0134 1.7260
Cu 8.8998 -2.0134 1.7260
Hg 1.9453 1.5415 1.7260
Hg 5.3621 4.8898 1.7260
Hg 1.9453 -1.5415 1.7260
Hg 8.3831 4.8898 1.7260
Hg 6.8726 0.0000 1.7260
Hg 5.3621 -4.8898 1.7260
Hg 11.7999 1.5415 1.7260
Hg 8.3831 -4.8898 1.7260
Hg 11.7999 -1.5415 1.7260
```

Top 6 peaks for 5 to 70 degrees two-theta, in order of rising 2θ:
3.452 Å, 25.81°, intensity 41.0; 3.430 Å, 25.98°, intensity 37.6; 2.433 Å, 36.95°, intensity 100.0; 2.425 Å, 37.07°, intensity 59.7; 1.984 Å, 45.72°, intensity 29.4; 1.406 Å, 66.49°, intensity 21.2

Entry 2:
Sc2CuHg2: simulated powder XRD pattern (a wavelength of 1.5418 Å), based on a DFT-relaxed cell (PBE, Alexandria).
Intensities are scaled so that the largest is 100.

Atomic structure:
```
10
Lattice="-2.9784 6.4347 2.7164 2.9784 -6.4347 2.7164 2.9784 6.4347 -2.7164" Properties=species:S:1:pos:R:3 pbc="T T T"
Sc 1.0878 2.1566 0.0000
Sc 1.0878 -2.1566 2.7164
Sc 1.8906 8.5912 0.0000
Sc 1.8906 4.2781 2.7164
Cu 0.0000 0.0000 1.3582
Cu 0.0000 0.0000 4.0745
Hg 3.9372 1.3270 0.0000
Hg 0.9589 5.1077 0.0000
Hg 2.0195 1.3270 2.7164
Hg -0.9589 5.1077 2.7164
```

Top 6 peaks for 5 to 70 degrees two-theta, in order of rising 2θ:
3.406 Å, 26.17°, intensity 100.0; 2.716 Å, 32.98°, intensity 38.4; 2.559 Å, 35.06°, intensity 56.1; 2.510 Å, 35.77°, intensity 43.3; 2.231 Å, 40.44°, intensity 56.3; 2.076 Å, 43.61°, intensity 41.4

Entry 3:
CuHg2Se3: simulated powder XRD pattern (a wavelength of 1.5418 Å), based on a DFT-relaxed cell (PBE, Alexandria).
Intensities are scaled so that the largest is 100.

Atomic structure:
```
12
Lattice="4.2130 0.0000 0.0000 0.0000 12.7421 0.0000 0.0000 0.0000 6.0196" Properties=species:S:1:pos:R:3 pbc="T T T"
Cu 0.0000 0.0000 0.0000
Cu 2.1065 6.3710 3.0098
Hg 0.0000 4.2857 5.9105
Hg 0.0000 8.4564 5.9105
Hg 2.1065 2.0853 2.9006
Hg 2.1065 10.6567 2.9006
Se 0.0000 1.9401 4.5921
Se 0.0000 6.3710 4.2002
Se 0.0000 10.8019 4.5921
Se 2.1065 0.0000 1.1904
Se 2.1065 4.4309 1.5823
Se 2.1065 8.3112 1.5823
```

Top 6 peaks for 5 to 70 degrees two-theta, in order of rising 2θ:
3.470 Å, 25.67°, intensity 86.4; 3.452 Å, 25.81°, intensity 92.1; 2.122 Å, 42.61°, intensity 100.0; 1.813 Å, 50.33°, intensity 27.0; 1.809 Å, 50.46°, intensity 28.2; 1.801 Å, 50.70°, intensity 27.3

Entry 4:
SmCuHg: simulated powder XRD pattern (a wavelength of 1.5418 Å), based on a DFT-relaxed cell (PBE, Alexandria).
Intensities are scaled so that the largest is 100.

Atomic structure:
```
18
Lattice="13.4100 0.0000 0.0000 0.0000 3.8463 0.0000 0.0000 0.0000 7.6739" Properties=species:S:1:pos:R:3 pbc="T T T"
Sm 0.6395 0.0000 1.8521
Sm 3.3525 0.0000 6.5109
Sm 6.0655 0.0000 1.8521
Sm 7.3445 0.0000 5.8218
Sm 10.0575 0.0000 1.1629
Sm 12.7705 0.0000 5.8218
Cu 1.1826 1.9231 7.2708
Cu 3.3525 0.0000 3.4260
Cu 5.5224 1.9231 7.2708
Cu 7.8876 1.9231 0.4031
Cu 10.0575 0.0000 4.2479
Cu 12.2274 1.9231 0.4031
Hg 1.5839 1.9231 4.4389
Hg 3.3525 1.9231 1.4305
Hg 5.1211 1.9231 4.4389
Hg 8.2889 1.9231 3.2350
Hg 10.0575 1.9231 6.2434
Hg 11.8261 1.9231 3.2350
```

Top 6 peaks for 5 to 70 degrees two-theta, in order of rising 2θ:
2.725 Å, 32.86°, intensity 100.0; 2.716 Å, 32.97°, intensity 22.8; 2.662 Å, 33.66°, intensity 46.2; 2.529 Å, 35.50°, intensity 47.1; 2.516 Å, 35.69°, intensity 51.1; 1.923 Å, 47.27°, intensity 29.3

Entry 5:
Sm3CuHg3: simulated powder XRD pattern (a wavelength of 1.5418 Å), based on a DFT-relaxed cell (PBE, Alexandria).
Intensities are scaled so that the largest is 100.

Atomic structure:
```
14
Lattice="3.6835 0.0000 0.0000 0.0000 4.8415 0.0000 0.0000 0.0000 20.1066" Properties=species:S:1:pos:R:3 pbc="T T T"
Sm 0.0000 0.0000 0.0000
Sm 0.0000 0.0000 7.6592
Sm 0.0000 2.4207 4.0273
Sm 1.8418 0.0000 14.0806
Sm 1.8418 2.4207 10.0533
Sm 1.8418 2.4207 17.7125
Cu 0.0000 2.4207 15.3619
Cu 1.8418 0.0000 5.3086
Hg 0.0000 0.0000 10.9755
Hg 0.0000 0.0000 16.7798
Hg 0.0000 2.4207 12.7478
Hg 1.8418 0.0000 2.6944
Hg 1.8418 2.4207 0.9222
Hg 1.8418 2.4207 6.7265
```

Top 6 peaks for 5 to 70 degrees two-theta, in order of rising 2θ:
2.814 Å, 31.80°, intensity 100.0; 2.716 Å, 32.98°, intensity 39.6; 2.532 Å, 35.45°, intensity 42.7; 2.470 Å, 36.37°, intensity 69.7; 2.421 Å, 37.14°, intensity 47.5; 1.477 Å, 62.94°, intensity 29.8

Entry 6:
SmYCuHg: simulated powder XRD pattern (a wavelength of 1.5418 Å), based on a DFT-relaxed cell (PBE, Alexandria).
Intensities are scaled so that the largest is 100.

Atomic structure:
```
16
Lattice="7.3129 0.0000 0.0000 0.0000 7.3129 0.0000 0.0000 0.0000 7.3129" Properties=species:S:1:pos:R:3 pbc="T T T"
Sm 0.0000 0.0000 0.0000
Sm 0.0000 3.6564 3.6564
Sm 3.6564 0.0000 3.6564
Sm 3.6564 3.6564 0.0000
Y 0.0000 0.0000 3.6564
Y 0.0000 3.6564 0.0000
Y 3.6564 0.0000 0.0000
Y 3.6564 3.6564 3.6564
Cu 1.8282 1.8282 5.4847
Cu 1.8282 5.4847 1.8282
Cu 5.4847 1.8282 1.8282
Cu 5.4847 5.4847 5.4847
Hg 1.8282 1.8282 1.8282
Hg 1.8282 5.4847 5.4847
Hg 5.4847 1.8282 5.4847
Hg 5.4847 5.4847 1.8282
```

Top 6 peaks for 5 to 70 degrees two-theta, in order of rising 2θ:
4.222 Å, 21.04°, intensity 17.6; 2.585 Å, 34.70°, intensity 100.0; 2.205 Å, 40.93°, intensity 10.3; 1.828 Å, 49.88°, intensity 17.8; 1.678 Å, 54.71°, intensity 4.6; 1.493 Å, 62.19°, intensity 36.5

Entry 7:
Sr2Cu4Sn3Hg: simulated powder XRD pattern (a wavelength of 1.5418 Å), based on a DFT-relaxed cell (PBE, Alexandria).
Intensities are scaled so that the largest is 100.

Atomic structure:
```
10
Lattice="4.6076 0.0000 0.0000 0.0000 4.6076 0.0000 0.0000 0.0000 10.6433" Properties=species:S:1:pos:R:3 pbc="T T T"
Sr 0.0000 2.3038 2.5555
Sr 2.3038 0.0000 8.0878
Cu 0.0000 0.0000 0.0000
Cu 0.0000 2.3038 6.7291
Cu 2.3038 0.0000 3.9142
Cu 2.3038 2.3038 0.0000
Sn 0.0000 2.3038 9.3153
Sn 2.3038 0.0000 1.3280
Sn 2.3038 2.3038 5.3217
Hg 0.0000 0.0000 5.3217
```

Top 6 peaks for 5 to 70 degrees two-theta, in order of rising 2θ:
2.811 Å, 31.83°, intensity 47.0; 2.779 Å, 32.21°, intensity 100.0; 2.304 Å, 39.10°, intensity 74.8; 2.061 Å, 43.93°, intensity 46.2; 1.629 Å, 56.49°, intensity 25.9; 1.405 Å, 66.54°, intensity 27.6

Entry 8:
TlCuSnHg2: simulated powder XRD pattern (a wavelength of 1.5418 Å), based on a DFT-relaxed cell (PBE, Alexandria).
Intensities are scaled so that the largest is 100.

Atomic structure:
```
5
Lattice="5.1433 0.0000 0.0000 0.0000 5.1433 0.0000 0.0000 0.0000 5.1645" Properties=species:S:1:pos:R:3 pbc="T T T"
Tl 0.0000 0.0000 0.0000
Cu 2.5717 2.5717 2.5823
Sn 2.5717 2.5717 0.0000
Hg 0.0000 2.5717 2.5823
Hg 2.5717 0.0000 2.5823
```

Top 6 peaks for 5 to 70 degrees two-theta, in order of rising 2θ:
2.974 Å, 30.05°, intensity 100.0; 2.582 Å, 34.74°, intensity 25.3; 2.572 Å, 34.89°, intensity 50.1; 1.822 Å, 50.06°, intensity 36.5; 1.551 Å, 59.59°, intensity 30.3; 1.487 Å, 62.47°, intensity 18.9